(1)
Diffraction record for TiTl2AgCl6. The XRD peak list is computed, not measured: it uses DFT lattice parameters and positions (GGA-PBE) and Cu Kα, 1.54184 Å.

Structural model:
a = 13.435 Å, b = 13.435 Å, c = 13.435 Å
α = 30.97°, β = 30.97°, γ = 30.97°
Atoms (fractional coordinates):
Ti  0.000  0.000  0.000
Ti  0.500  0.500  0.500
Tl  0.138  0.138  0.138
Tl  0.305  0.305  0.305
Tl  0.695  0.695  0.695
Tl  0.862  0.862  0.862
Ag  0.414  0.414  0.414
Ag  0.586  0.586  0.586
Cl  0.141  0.625  0.625
Cl  0.197  0.197  0.714
Cl  0.197  0.714  0.197
Cl  0.286  0.803  0.803
Cl  0.375  0.375  0.859
Cl  0.375  0.859  0.375
Cl  0.625  0.141  0.625
Cl  0.625  0.625  0.141
Cl  0.714  0.197  0.197
Cl  0.803  0.286  0.803
Cl  0.803  0.803  0.286
Cl  0.859  0.375  0.375

Top 10 peaks for 15 to 90 degrees two-theta, by angle:
2θ (°), d/Å, intensity
21.6, 4.108, 74.1
24.8, 3.587, 100.0
29.4, 3.040, 43.2
31.1, 2.879, 27.5
33.2, 2.702, 73.6
38.8, 2.319, 38.0
41.9, 2.158, 26.0
46.6, 1.947, 23.9
49.8, 1.831, 25.9
50.9, 1.793, 34.3

***

(2)
Diffraction record for TlAg3Cl4. The XRD peak list is computed, not measured: it uses DFT lattice parameters and positions (GGA-PBE) and Cu Kα, 1.54184 Å.

Structural model:
a = 7.553 Å, b = 7.553 Å, c = 7.553 Å
α = 90.00°, β = 90.00°, γ = 90.00°
Atoms (fractional coordinates):
Tl  0.000  0.000  0.000
Tl  0.500  0.500  0.500
Ag  0.000  0.250  0.500
Ag  0.000  0.750  0.500
Ag  0.250  0.500  0.000
Ag  0.500  0.000  0.250
Ag  0.500  0.000  0.750
Ag  0.750  0.500  0.000
Cl  0.250  0.250  0.250
Cl  0.250  0.250  0.750
Cl  0.250  0.750  0.250
Cl  0.250  0.750  0.750
Cl  0.750  0.250  0.250
Cl  0.750  0.250  0.750
Cl  0.750  0.750  0.250
Cl  0.750  0.750  0.750

Top 10 peaks for 15 to 90 degrees two-theta, by angle:
2θ (°), d/Å, intensity
26.4, 3.378, 67.1
29.0, 3.084, 100.0
33.6, 2.670, 18.4
43.2, 2.095, 17.3
44.9, 2.019, 60.5
48.2, 1.888, 28.0
55.8, 1.648, 15.6
68.0, 1.379, 17.4
70.5, 1.335, 17.2
78.0, 1.225, 17.8

***

(3)
Diffraction record for TlAg2Cl6. The XRD peak list is computed, not measured: it uses DFT lattice parameters and positions (GGA-PBE) and Cu Kα, 1.54184 Å.

Structural model:
a = 6.675 Å, b = 6.359 Å, c = 12.889 Å
α = 90.00°, β = 116.79°, γ = 90.00°
Atoms (fractional coordinates):
Tl  0.000  0.000  0.000
Tl  0.000  0.500  0.500
Ag  0.322  0.034  0.822
Ag  0.322  0.466  0.322
Ag  0.678  0.534  0.678
Ag  0.678  0.966  0.178
Cl  0.035  0.241  0.351
Cl  0.035  0.259  0.851
Cl  0.293  0.726  0.473
Cl  0.293  0.774  0.973
Cl  0.365  0.191  0.184
Cl  0.365  0.309  0.684
Cl  0.635  0.691  0.316
Cl  0.635  0.809  0.816
Cl  0.707  0.226  0.027
Cl  0.707  0.274  0.527
Cl  0.965  0.741  0.149
Cl  0.965  0.759  0.649

Top 10 peaks for 15 to 90 degrees two-theta, by angle:
2θ (°), d/Å, intensity
15.9, 5.566, 100.0
24.1, 3.686, 33.7
25.4, 3.504, 37.5
25.9, 3.436, 25.9
31.8, 2.811, 18.5
38.6, 2.334, 17.8
39.2, 2.299, 28.4
39.8, 2.263, 29.2
41.7, 2.164, 13.6
47.4, 1.918, 17.4

***

(4)
Diffraction record for TlAg5Cl12. The XRD peak list is computed, not measured: it uses DFT lattice parameters and positions (GGA-PBE) and Cu Kα, 1.54184 Å.

Structural model:
a = 6.669 Å, b = 6.694 Å, c = 12.517 Å
α = 87.68°, β = 89.07°, γ = 67.50°
Atoms (fractional coordinates):
Tl  0.000  0.000  0.000
Ag  0.167  0.666  0.500
Ag  0.332  0.334  0.000
Ag  0.500  0.000  0.500
Ag  0.668  0.666  0.000
Ag  0.833  0.334  0.500
Cl  0.041  0.285  0.122
Cl  0.114  0.378  0.615
Cl  0.220  0.955  0.385
Cl  0.295  0.051  0.878
Cl  0.333  0.659  0.104
Cl  0.448  0.710  0.615
Cl  0.552  0.290  0.385
Cl  0.667  0.341  0.896
Cl  0.705  0.949  0.122
Cl  0.780  0.045  0.615
Cl  0.886  0.622  0.385
Cl  0.959  0.715  0.878

Top 10 peaks for 15 to 90 degrees two-theta, by angle:
2θ (°), d/Å, intensity
24.9, 3.579, 100.0
25.2, 3.537, 95.3
30.8, 2.899, 59.4
31.9, 2.802, 55.0
33.9, 2.648, 67.2
35.3, 2.546, 62.6
39.2, 2.296, 55.5
40.1, 2.249, 53.6
44.7, 2.027, 67.5
49.5, 1.841, 51.8

***

(5)
Diffraction record for TlAgCl3. The XRD peak list is computed, not measured: it uses DFT lattice parameters and positions (GGA-PBE) and Cu Kα, 1.54184 Å.

Structural model:
a = 7.201 Å, b = 7.201 Å, c = 7.201 Å
α = 60.54°, β = 60.54°, γ = 60.54°
Atoms (fractional coordinates):
Tl  0.000  0.000  0.000
Tl  0.500  0.500  0.500
Ag  0.250  0.250  0.250
Ag  0.750  0.750  0.750
Cl  0.000  0.463  0.537
Cl  0.037  0.963  0.500
Cl  0.463  0.537  0.000
Cl  0.500  0.037  0.963
Cl  0.537  0.000  0.463
Cl  0.963  0.500  0.037

Top 10 peaks for 15 to 90 degrees two-theta, by angle:
2θ (°), d/Å, intensity
24.5, 3.630, 99.1
24.7, 3.600, 100.0
30.2, 2.960, 27.9
35.1, 2.556, 90.1
43.2, 2.096, 25.9
43.3, 2.090, 47.7
43.7, 2.073, 22.7
50.3, 1.815, 29.2
50.7, 1.800, 30.4
68.4, 1.371, 26.4

***

(6)
Diffraction record for TlAg5Cl8. The XRD peak list is computed, not measured: it uses DFT lattice parameters and positions (GGA-PBE) and Cu Kα, 1.54184 Å.

Structural model:
a = 8.026 Å, b = 8.026 Å, c = 8.026 Å
α = 60.00°, β = 60.00°, γ = 60.00°
Atoms (fractional coordinates):
Tl  0.000  0.000  0.000
Ag  0.379  0.379  0.379
Ag  0.379  0.379  0.864
Ag  0.379  0.864  0.379
Ag  0.750  0.750  0.750
Ag  0.864  0.379  0.379
Cl  0.134  0.134  0.134
Cl  0.134  0.134  0.598
Cl  0.134  0.598  0.134
Cl  0.144  0.619  0.619
Cl  0.598  0.134  0.134
Cl  0.619  0.144  0.619
Cl  0.619  0.619  0.144
Cl  0.619  0.619  0.619

Top 10 peaks for 15 to 90 degrees two-theta, by angle:
2θ (°), d/Å, intensity
22.2, 4.013, 37.7
26.0, 3.422, 100.0
31.5, 2.838, 14.1
38.9, 2.317, 17.4
41.3, 2.185, 44.8
45.2, 2.007, 59.3
52.9, 1.731, 13.8
62.9, 1.478, 22.7
72.1, 1.311, 13.3
83.4, 1.159, 18.0

***

(7)
Diffraction record for TlAgCl3. The XRD peak list is computed, not measured: it uses DFT lattice parameters and positions (GGA-PBE) and Cu Kα, 1.54184 Å.

Structural model:
a = 7.961 Å, b = 7.961 Å, c = 10.136 Å
α = 90.00°, β = 90.00°, γ = 120.00°
Atoms (fractional coordinates):
Tl  0.000  0.000  0.000
Tl  0.333  0.667  0.667
Tl  0.667  0.333  0.333
Ag  0.000  0.000  0.675
Ag  0.333  0.667  0.342
Ag  0.667  0.333  0.008
Cl  0.010  0.505  0.469
Cl  0.162  0.324  0.802
Cl  0.162  0.838  0.802
Cl  0.343  0.171  0.136
Cl  0.495  0.505  0.469
Cl  0.495  0.990  0.469
Cl  0.676  0.838  0.802
Cl  0.829  0.171  0.136
Cl  0.829  0.657  0.136

Top 10 peaks for 15 to 90 degrees two-theta, by angle:
2θ (°), d/Å, intensity
15.5, 5.701, 100.0
21.8, 4.083, 19.0
22.3, 3.981, 69.3
31.4, 2.850, 22.5
34.8, 2.576, 69.4
35.6, 2.524, 24.8
39.2, 2.298, 16.7
45.6, 1.990, 23.9
47.9, 1.900, 28.0
68.2, 1.374, 19.0

***

(8)
Diffraction record for TlAgCl3. The XRD peak list is computed, not measured: it uses DFT lattice parameters and positions (GGA-PBE) and Cu Kα, 1.54184 Å.

Structural model:
a = 3.961 Å, b = 8.513 Å, c = 12.238 Å
α = 90.00°, β = 90.00°, γ = 90.00°
Atoms (fractional coordinates):
Tl  0.000  0.000  0.000
Tl  0.000  0.500  0.500
Ag  0.500  0.000  0.381
Ag  0.500  0.500  0.881
Cl  0.000  0.198  0.408
Cl  0.000  0.302  0.908
Cl  0.000  0.698  0.908
Cl  0.000  0.802  0.408
Cl  0.500  0.000  0.159
Cl  0.500  0.500  0.659

Top 10 peaks for 15 to 90 degrees two-theta, by angle:
2θ (°), d/Å, intensity
20.9, 4.257, 52.1
24.2, 3.679, 60.7
25.9, 3.446, 100.0
26.8, 3.325, 37.6
33.2, 2.695, 26.1
34.2, 2.620, 36.5
38.3, 2.352, 30.2
39.8, 2.267, 55.4
43.0, 2.105, 55.0
45.1, 2.009, 23.8

***

(9)
Diffraction record for TlAg2Cl4. The XRD peak list is computed, not measured: it uses DFT lattice parameters and positions (GGA-PBE) and Cu Kα, 1.54184 Å.

Structural model:
a = 5.764 Å, b = 5.764 Å, c = 6.756 Å
α = 90.00°, β = 90.00°, γ = 90.00°
Atoms (fractional coordinates):
Tl  0.000  0.000  0.000
Ag  0.000  0.500  0.500
Ag  0.500  0.000  0.500
Cl  0.264  0.264  0.265
Cl  0.264  0.736  0.735
Cl  0.736  0.264  0.735
Cl  0.736  0.736  0.265

Top 10 peaks for 15 to 90 degrees two-theta, by angle:
2θ (°), d/Å, intensity
15.4, 5.764, 27.0
20.3, 4.385, 34.1
25.5, 3.490, 100.0
30.7, 2.914, 13.8
37.3, 2.408, 14.6
41.2, 2.192, 43.0
44.5, 2.038, 17.1
46.0, 1.971, 19.7
52.0, 1.760, 27.3
65.9, 1.417, 12.9

***

(10)
Diffraction record for Tl3Ag2Cl4. The XRD peak list is computed, not measured: it uses DFT lattice parameters and positions (GGA-PBE) and Cu Kα, 1.54184 Å.

Structural model:
a = 9.054 Å, b = 9.054 Å, c = 7.247 Å
α = 99.55°, β = 99.55°, γ = 70.24°
Atoms (fractional coordinates):
Tl  0.098  0.902  0.750
Tl  0.239  0.472  0.341
Tl  0.472  0.239  0.841
Tl  0.528  0.761  0.159
Tl  0.761  0.528  0.659
Tl  0.902  0.098  0.250
Ag  0.043  0.339  0.982
Ag  0.339  0.043  0.482
Ag  0.661  0.957  0.518
Ag  0.957  0.661  0.018
Cl  0.087  0.255  0.600
Cl  0.255  0.087  0.100
Cl  0.259  0.626  0.981
Cl  0.374  0.741  0.519
Cl  0.626  0.259  0.481
Cl  0.741  0.374  0.019
Cl  0.745  0.913  0.900
Cl  0.913  0.745  0.400

Top 10 peaks for 15 to 90 degrees two-theta, by angle:
2θ (°), d/Å, intensity
20.3, 4.385, 28.9
21.2, 4.199, 100.0
21.8, 4.081, 89.2
25.8, 3.458, 79.3
29.3, 3.046, 63.6
30.2, 2.959, 46.3
32.0, 2.794, 27.4
32.8, 2.734, 62.5
34.4, 2.604, 44.5
38.3, 2.350, 54.7

***

(11)
Diffraction record for TmTlAg2Cl6. The XRD peak list is computed, not measured: it uses DFT lattice parameters and positions (GGA-PBE) and Cu Kα, 1.54184 Å.

Structural model:
a = 7.671 Å, b = 7.671 Å, c = 7.671 Å
α = 55.05°, β = 55.05°, γ = 55.05°
Atoms (fractional coordinates):
Tm  0.000  0.000  0.000
Tl  0.519  0.519  0.519
Ag  0.327  0.327  0.327
Ag  0.806  0.806  0.806
Cl  0.064  0.390  0.756
Cl  0.167  0.975  0.603
Cl  0.390  0.756  0.064
Cl  0.603  0.167  0.975
Cl  0.756  0.064  0.390
Cl  0.975  0.603  0.167

Top 10 peaks for 15 to 90 degrees two-theta, by angle:
2θ (°), d/Å, intensity
17.1, 5.193, 64.3
23.3, 3.814, 95.1
25.1, 3.545, 100.0
28.7, 3.111, 18.1
34.5, 2.597, 39.1
37.6, 2.393, 96.8
43.2, 2.095, 41.7
44.3, 2.047, 49.8
59.4, 1.555, 21.3
77.0, 1.238, 20.9

***

(12)
Diffraction record for UTlAgCl6. The XRD peak list is computed, not measured: it uses DFT lattice parameters and positions (GGA-PBE) and Cu Kα, 1.54184 Å.

Structural model:
a = 6.983 Å, b = 6.983 Å, c = 14.291 Å
α = 90.00°, β = 90.00°, γ = 120.00°
Atoms (fractional coordinates):
U  0.333  0.667  0.250
U  0.667  0.333  0.750
Tl  0.000  0.000  0.000
Tl  0.000  0.000  0.500
Ag  0.333  0.667  0.750
Ag  0.667  0.333  0.250
Cl  0.017  0.372  0.141
Cl  0.017  0.646  0.359
Cl  0.354  0.372  0.359
Cl  0.354  0.983  0.141
Cl  0.372  0.017  0.641
Cl  0.372  0.354  0.859
Cl  0.628  0.646  0.141
Cl  0.628  0.983  0.359
Cl  0.646  0.017  0.859
Cl  0.646  0.628  0.641
Cl  0.983  0.354  0.641
Cl  0.983  0.628  0.859

Top 10 peaks for 15 to 90 degrees two-theta, by angle:
2θ (°), d/Å, intensity
19.2, 4.616, 100.0
25.5, 3.492, 33.8
28.5, 3.137, 13.1
32.1, 2.785, 26.3
36.0, 2.497, 61.3
40.7, 2.216, 13.7
41.5, 2.177, 28.3
45.0, 2.016, 20.8
58.9, 1.569, 13.9
77.0, 1.238, 12.4

***

(13)
Diffraction record for Tl3V2AgCl9. The XRD peak list is computed, not measured: it uses DFT lattice parameters and positions (GGA-PBE) and Cu Kα, 1.54184 Å.

Structural model:
a = 7.123 Å, b = 7.123 Å, c = 8.797 Å
α = 90.00°, β = 90.00°, γ = 120.00°
Atoms (fractional coordinates):
Tl  0.000  0.000  0.000
Tl  0.333  0.667  0.642
Tl  0.667  0.333  0.358
V  0.333  0.667  0.159
V  0.667  0.333  0.841
Ag  0.000  0.000  0.500
Cl  0.000  0.500  0.000
Cl  0.175  0.350  0.317
Cl  0.175  0.825  0.317
Cl  0.350  0.175  0.683
Cl  0.500  0.000  0.000
Cl  0.500  0.500  0.000
Cl  0.650  0.825  0.317
Cl  0.825  0.175  0.683
Cl  0.825  0.650  0.683

Top 10 peaks for 15 to 90 degrees two-theta, by angle:
2θ (°), d/Å, intensity
17.6, 5.050, 28.9
24.9, 3.581, 96.8
25.0, 3.561, 99.7
30.7, 2.910, 59.6
35.6, 2.525, 100.0
43.7, 2.072, 24.0
44.0, 2.059, 65.9
51.0, 1.791, 31.9
51.3, 1.781, 34.7
69.9, 1.347, 23.1